Ac4Al3CrO12: theoretical powder X-ray diffraction pattern (CuKα), based on a crystal structure in Alexandria, relaxed with PBE+U.

Peak list (6 most intense, 10° ≤ 2θ ≤ 90°, by angle)
d [Å]	intensity
3.909	59
2.764	100
2.257	37
1.955	30
1.748	29
1.596	40

Structural model:
```
20
Lattice="-3.9094 3.9094 3.9094 3.9094 -3.9094 3.9094 3.9094 3.9094 -3.9094" Properties=species:S:1:pos:R:3 pbc="T T T"
Ac 1.9547 1.9547 -1.9547
Ac 1.9547 -1.9547 1.9547
Ac -1.9547 1.9547 1.9547
Ac 1.9547 1.9547 1.9547
Al 3.9094 0.0000 0.0000
Al 0.0000 3.9094 0.0000
Al 0.0000 0.0000 3.9094
Cr 0.0000 0.0000 0.0000
O 2.0026 0.0000 0.0000
O 5.8163 0.0000 0.0000
O 3.9094 1.9547 0.0000
O 3.9094 0.0000 1.9547
O 0.0000 2.0026 0.0000
O 0.0000 0.0000 2.0026
O 1.9547 3.9094 0.0000
O 1.9547 0.0000 3.9094
O 0.0000 5.8163 0.0000
O 0.0000 0.0000 5.8163
O 0.0000 3.9094 1.9547
O 0.0000 1.9547 3.9094
```